No. 1
This entry pairs a crystal structure of Rb3MgBr5 with its calculated powder XRD pattern. Radiation: a wavelength of 1.5418 Å. Structure: a cell relaxed with PBE.
No peak broadening, texture or thermal motion is included.

Principal peaks in the range 2θ = 10–80°, by angle:
two_theta	I_rel
26.57	140
26.74	124
27.28	1000
29.81	100
29.97	490
42.90	104
43.25	129
44.99	89
46.46	113
55.40	186

Atomic structure:
Cell lengths 10.235, 10.235, 10.235 Å; angles 125.15, 125.15, 81.29 degrees
Fractional coordinates of all 18 atoms:
Rb 0.163 0.663 0.826
Rb 0.250 0.250 0.000
Rb 0.337 0.163 0.500
Rb 0.663 0.837 0.500
Rb 0.750 0.750 0.000
Rb 0.837 0.337 0.174
Mg 0.250 0.750 0.500
Mg 0.750 0.250 0.500
Br 0.000 0.000 0.000
Br 0.004 0.798 0.500
Br 0.202 0.702 0.205
Br 0.298 0.504 0.500
Br 0.496 0.996 0.795
Br 0.500 0.500 0.000
Br 0.504 0.004 0.205
Br 0.702 0.496 0.500
Br 0.798 0.298 0.795
Br 0.996 0.202 0.500

No. 2
This entry pairs a crystal structure of MgAg5Au4 with its calculated powder XRD pattern. Radiation: a wavelength of 1.5418 Å. Structure: a cell relaxed with PBE.
No peak broadening, texture or thermal motion is included.

Principal peaks in the range 2θ = 10–80°, by angle:
two_theta	I_rel
21.35	370
37.26	1000
37.46	985
37.57	975
37.88	955
43.35	651
43.48	656
44.04	622
75.53	375
76.33	363

Atomic structure:
Cell lengths 5.055, 5.939, 6.531 Å; angles 76.52, 75.41, 72.94 degrees
Fractional coordinates of all 10 atoms:
Mg 0.000 0.000 0.000
Ag 0.000 0.500 0.000
Ag 0.200 0.799 0.600
Ag 0.402 0.599 0.199
Ag 0.598 0.401 0.801
Ag 0.800 0.201 0.400
Au 0.195 0.297 0.603
Au 0.402 0.099 0.197
Au 0.598 0.901 0.803
Au 0.805 0.703 0.397

No. 3
This entry pairs a crystal structure of BeAl2Pd6 with its calculated powder XRD pattern. Radiation: a wavelength of 1.5418 Å. Structure: a cell relaxed with PBE.
No peak broadening, texture or thermal motion is included.

Principal peaks in the range 2θ = 10–80°, by angle:
two_theta	I_rel
31.11	382
31.25	381
31.36	378
44.71	1000
45.06	199
55.43	142
55.77	143
65.20	63
73.80	144
74.00	88

Atomic structure:
Cell lengths 7.020, 7.020, 4.024 Å; angles 106.48, 106.48, 48.36 degrees
Fractional coordinates of all 9 atoms:
Be 0.000 0.000 0.000
Al 0.335 0.335 0.336
Al 0.665 0.665 0.664
Pd 0.080 0.596 0.838
Pd 0.238 0.762 0.500
Pd 0.404 0.920 0.162
Pd 0.596 0.080 0.838
Pd 0.762 0.238 0.500
Pd 0.920 0.404 0.162

No. 4
This entry pairs a crystal structure of MnAlGaNi with its calculated powder XRD pattern. Radiation: a wavelength of 1.5418 Å. Structure: a cell relaxed with PBE.
No peak broadening, texture or thermal motion is included.

Principal peaks in the range 2θ = 10–80°, by angle:
two_theta	I_rel
26.17	118
30.30	13
43.39	1000
51.37	56
63.03	154
69.45	22
79.62	302

Atomic structure:
Cell lengths 4.171, 4.171, 4.171 Å; angles 60.00, 60.00, 60.00 degrees
Fractional coordinates of all 4 atoms:
Mn 0.000 0.000 0.000
Al 0.250 0.250 0.250
Ga 0.750 0.750 0.750
Ni 0.500 0.500 0.500

No. 5
This entry pairs a crystal structure of Rb2BaHf3S8 with its calculated powder XRD pattern. Radiation: a wavelength of 1.5418 Å. Structure: a cell relaxed with PBE.
No peak broadening, texture or thermal motion is included.

Principal peaks in the range 2θ = 10–80°, by angle:
two_theta	I_rel
11.30	870
20.12	458
23.13	411
25.70	1000
26.90	678
30.75	615
37.97	683
40.89	597
47.02	568
61.91	320

Atomic structure:
Cell lengths 9.011, 9.011, 9.011 Å; angles 50.80, 50.80, 50.80 degrees
Fractional coordinates of all 14 atoms:
Rb 0.000 0.000 0.000
Rb 0.359 0.359 0.359
Ba 0.626 0.626 0.626
Hf 0.491 0.999 0.999
Hf 0.999 0.491 0.999
Hf 0.999 0.999 0.491
S 0.192 0.739 0.739
S 0.225 0.225 0.225
S 0.262 0.262 0.799
S 0.262 0.799 0.262
S 0.739 0.192 0.739
S 0.739 0.739 0.192
S 0.769 0.769 0.769
S 0.799 0.262 0.262

No. 6
This entry pairs a crystal structure of Mn2V2Ni7 with its calculated powder XRD pattern. Radiation: a wavelength of 1.5418 Å. Structure: a cell relaxed with PBE.
No peak broadening, texture or thermal motion is included.

Principal peaks in the range 2θ = 10–80°, by angle:
two_theta	I_rel
24.47	169
39.37	175
42.15	269
44.21	499
44.93	449
45.95	689
46.70	1000
47.70	222
51.17	145
64.86	150

Atomic structure:
Cell lengths 5.751, 5.751, 4.536 Å; angles 109.00, 109.00, 90.88 degrees
Fractional coordinates of all 11 atoms:
Mn 0.119 0.119 0.352
Mn 0.881 0.881 0.648
V 0.318 0.682 0.000
V 0.682 0.318 0.000
Ni 0.084 0.574 0.322
Ni 0.239 0.239 0.956
Ni 0.426 0.916 0.678
Ni 0.500 0.500 0.500
Ni 0.574 0.084 0.322
Ni 0.761 0.761 0.044
Ni 0.916 0.426 0.678

No. 7
This entry pairs a crystal structure of Zr2BeTcH with its calculated powder XRD pattern. Radiation: a wavelength of 1.5418 Å. Structure: a cell relaxed with PBE.
No peak broadening, texture or thermal motion is included.

Principal peaks in the range 2θ = 10–80°, by angle:
two_theta	I_rel
19.49	291
27.69	87
33.01	168
38.62	1000
39.57	475
52.45	88
54.31	92
57.20	156
69.25	173
71.15	316

Atomic structure:
Cell lengths 4.555, 4.555, 3.378 Å; angles 90.00, 90.00, 90.00 degrees
Fractional coordinates of all 5 atoms:
Zr 0.000 0.500 0.000
Zr 0.500 0.000 0.000
Be 0.000 0.000 0.500
Tc 0.500 0.500 0.500
H 0.000 0.000 0.000

No. 8
This entry pairs a crystal structure of Hf6PtS with its calculated powder XRD pattern. Radiation: a wavelength of 1.5418 Å. Structure: a cell relaxed with PBE.
No peak broadening, texture or thermal motion is included.

Principal peaks in the range 2θ = 10–80°, by angle:
two_theta	I_rel
28.51	241
31.18	285
32.36	1000
34.64	354
35.64	585
37.64	859
41.63	483
42.82	402
51.75	227
66.57	221

Atomic structure:
Cell lengths 5.655, 5.655, 5.930 Å; angles 98.43, 98.43, 109.14 degrees
Fractional coordinates of all 8 atoms:
Hf 0.078 0.695 0.709
Hf 0.289 0.289 0.806
Hf 0.305 0.922 0.291
Hf 0.695 0.078 0.709
Hf 0.711 0.711 0.194
Hf 0.922 0.305 0.291
Pt 0.500 0.500 0.500
S 0.000 0.000 0.000